(1)
Structure and calculated XRD peak list of Li3Zn3Pt (DFT lattice parameters and positions (PBE); Cu Kα, 1.54184 Å).
Kinematic intensities with the Lorentz-polarization factor, no thermal factor.

Structure:
Cell lengths 7.063, 7.063, 7.063 Å; angles 55.20, 55.20, 55.20 degrees
Sites, in units of the cell vectors:
1 Li 0.055 0.222 0.577
2 Li 0.222 0.577 0.055
3 Li 0.423 0.945 0.778
4 Li 0.577 0.055 0.222
5 Li 0.778 0.423 0.945
6 Li 0.945 0.778 0.423
7 Zn 0.202 0.430 0.699
8 Zn 0.301 0.798 0.570
9 Zn 0.430 0.699 0.202
10 Zn 0.570 0.301 0.798
11 Zn 0.699 0.202 0.430
12 Zn 0.798 0.570 0.301
13 Pt 0.161 0.161 0.161
14 Pt 0.839 0.839 0.839

The 10 most intense peaks (10° ≤ 2θ ≤ 90°), in order of rising 2θ:
d = 5.968 Å, 14.84°, intensity 100
d = 2.869 Å, 31.17°, intensity 49
d = 2.799 Å, 31.97°, intensity 14
d = 2.331 Å, 38.62°, intensity 14
d = 2.205 Å, 40.93°, intensity 41
d = 2.127 Å, 42.49°, intensity 19
d = 2.083 Å, 43.44°, intensity 16
d = 1.932 Å, 47.02°, intensity 16
d = 1.801 Å, 50.68°, intensity 16
d = 1.700 Å, 53.94°, intensity 17

(2)
Structure and calculated XRD peak list of RbLiPuTe3 (DFT lattice parameters and positions (PBE); Cu Kα, 1.54184 Å).
Kinematic intensities with the Lorentz-polarization factor, no thermal factor.

Structure:
Cell lengths 9.803, 4.576, 10.468 Å; angles 90.00, 108.51, 90.00 degrees
Sites, in units of the cell vectors:
1 Rb 0.210 0.250 0.257
2 Rb 0.790 0.750 0.743
3 Li 0.081 0.250 0.598
4 Li 0.919 0.750 0.402
5 Pu 0.321 0.750 0.850
6 Pu 0.679 0.250 0.150
7 Te 0.122 0.250 0.873
8 Te 0.214 0.750 0.548
9 Te 0.469 0.750 0.158
10 Te 0.531 0.250 0.842
11 Te 0.786 0.250 0.452
12 Te 0.878 0.750 0.127

The 10 most intense peaks (10° ≤ 2θ ≤ 90°), in order of rising 2θ:
d = 8.209 Å, 10.78°, intensity 75
d = 3.325 Å, 26.81°, intensity 100
d = 3.309 Å, 26.95°, intensity 35
d = 3.261 Å, 27.35°, intensity 33
d = 2.845 Å, 31.45°, intensity 18
d = 2.773 Å, 32.28°, intensity 19
d = 2.483 Å, 36.18°, intensity 20
d = 2.288 Å, 39.38°, intensity 25
d = 2.228 Å, 40.48°, intensity 32
d = 2.068 Å, 43.77°, intensity 29

(3)
Structure and calculated XRD peak list of Li2Pu4Rh5 (DFT lattice parameters and positions (PBE); Cu Kα, 1.54184 Å).
Kinematic intensities with the Lorentz-polarization factor, no thermal factor.

Structure:
Cell lengths 10.214, 10.214, 10.214 Å; angles 131.57, 58.74, 148.80 degrees
Sites, in units of the cell vectors:
1 Li 0.055 0.250 0.805
2 Li 0.445 0.250 0.195
3 Li 0.555 0.750 0.805
4 Li 0.945 0.750 0.195
5 Pu 0.062 0.228 0.291
6 Pu 0.152 0.624 0.775
7 Pu 0.348 0.124 0.472
8 Pu 0.438 0.728 0.166
9 Pu 0.562 0.272 0.834
10 Pu 0.652 0.876 0.528
11 Pu 0.848 0.376 0.225
12 Pu 0.938 0.772 0.709
13 Rh 0.074 0.906 0.979
14 Rh 0.210 0.306 0.516
15 Rh 0.250 0.750 0.500
16 Rh 0.290 0.806 0.096
17 Rh 0.426 0.406 0.832
18 Rh 0.574 0.594 0.168
19 Rh 0.710 0.194 0.904
20 Rh 0.750 0.250 0.500
21 Rh 0.790 0.694 0.484
22 Rh 0.926 0.094 0.021

The 10 most intense peaks (10° ≤ 2θ ≤ 90°), in order of rising 2θ:
d = 4.842 Å, 18.32°, intensity 40
d = 3.276 Å, 27.22°, intensity 31
d = 3.197 Å, 27.91°, intensity 44
d = 2.747 Å, 32.60°, intensity 80
d = 2.527 Å, 35.53°, intensity 32
d = 2.492 Å, 36.04°, intensity 69
d = 2.433 Å, 36.95°, intensity 68
d = 2.398 Å, 37.51°, intensity 100
d = 2.389 Å, 37.65°, intensity 41
d = 1.859 Å, 49.00°, intensity 28

(4)
Structure and calculated XRD peak list of Li2Pu3Rh4 (DFT lattice parameters and positions (PBE); Cu Kα, 1.54184 Å).
Kinematic intensities with the Lorentz-polarization factor, no thermal factor.

Structure:
Cell lengths 8.073, 8.073, 5.164 Å; angles 92.60, 92.60, 74.95 degrees
Sites, in units of the cell vectors:
1 Li 0.081 0.371 0.381
2 Li 0.371 0.081 0.881
3 Li 0.629 0.919 0.119
4 Li 0.919 0.629 0.619
5 Pu 0.092 0.908 0.750
6 Pu 0.258 0.476 0.933
7 Pu 0.476 0.258 0.433
8 Pu 0.524 0.742 0.567
9 Pu 0.742 0.524 0.067
10 Pu 0.908 0.092 0.250
11 Rh 0.054 0.266 0.860
12 Rh 0.239 0.621 0.450
13 Rh 0.266 0.054 0.360
14 Rh 0.379 0.761 0.050
15 Rh 0.621 0.239 0.950
16 Rh 0.734 0.946 0.640
17 Rh 0.761 0.379 0.550
18 Rh 0.946 0.734 0.140

The 10 most intense peaks (10° ≤ 2θ ≤ 90°), in order of rising 2θ:
d = 6.397 Å, 13.84°, intensity 28
d = 4.232 Å, 20.99°, intensity 36
d = 3.911 Å, 22.73°, intensity 33
d = 3.163 Å, 28.21°, intensity 71
d = 2.685 Å, 33.37°, intensity 73
d = 2.474 Å, 36.31°, intensity 100
d = 2.456 Å, 36.59°, intensity 33
d = 2.333 Å, 38.60°, intensity 38
d = 2.288 Å, 39.39°, intensity 31
d = 2.282 Å, 39.49°, intensity 30

(5)
Structure and calculated XRD peak list of Li2Pu3Rh4 (DFT lattice parameters and positions (PBE); Cu Kα, 1.54184 Å).
Kinematic intensities with the Lorentz-polarization factor, no thermal factor.

Structure:
Cell lengths 4.543, 4.543, 8.830 Å; angles 90.11, 90.11, 59.97 degrees
Sites, in units of the cell vectors:
1 Li 0.167 0.167 0.293
2 Li 0.833 0.833 0.707
3 Pu 0.166 0.166 0.924
4 Pu 0.500 0.500 0.500
5 Pu 0.834 0.834 0.076
6 Rh 0.167 0.167 0.602
7 Rh 0.500 0.500 0.172
8 Rh 0.500 0.500 0.828
9 Rh 0.833 0.833 0.398

The 10 most intense peaks (10° ≤ 2θ ≤ 90°), in order of rising 2θ:
d = 4.415 Å, 20.11°, intensity 26
d = 3.593 Å, 24.78°, intensity 74
d = 2.357 Å, 38.19°, intensity 100
d = 2.271 Å, 39.69°, intensity 96
d = 2.020 Å, 44.88°, intensity 20
d = 1.925 Å, 47.21°, intensity 17
d = 1.636 Å, 56.23°, intensity 22
d = 1.379 Å, 67.99°, intensity 14
d = 1.326 Å, 71.07°, intensity 22
d = 1.311 Å, 72.03°, intensity 17

(6)
Structure and calculated XRD peak list of LiPuSnRh (DFT lattice parameters and positions (PBE); Cu Kα, 1.54184 Å).
Kinematic intensities with the Lorentz-polarization factor, no thermal factor.

Structure:
Cell lengths 4.760, 4.760, 4.760 Å; angles 60.00, 60.00, 60.00 degrees
Sites, in units of the cell vectors:
1 Li 0.000 0.000 0.000
2 Pu 0.750 0.750 0.750
3 Sn 0.250 0.250 0.250
4 Rh 0.500 0.500 0.500

The 10 most intense peaks (10° ≤ 2θ ≤ 90°), in order of rising 2θ:
d = 3.886 Å, 22.88°, intensity 25
d = 3.365 Å, 26.48°, intensity 34
d = 2.380 Å, 37.80°, intensity 100
d = 2.029 Å, 44.65°, intensity 13
d = 1.943 Å, 46.75°, intensity 10
d = 1.683 Å, 54.53°, intensity 18
d = 1.505 Å, 61.62°, intensity 14
d = 1.374 Å, 68.26°, intensity 36
d = 1.190 Å, 80.77°, intensity 12
d = 1.122 Å, 86.82°, intensity 8

(7)
Structure and calculated XRD peak list of LiPuRu (DFT lattice parameters and positions (PBE); Cu Kα, 1.54184 Å).
Kinematic intensities with the Lorentz-polarization factor, no thermal factor.

Structure:
Cell lengths 3.771, 3.771, 7.783 Å; angles 90.00, 90.00, 90.00 degrees
Sites, in units of the cell vectors:
1 Li 0.250 0.750 0.000
2 Li 0.750 0.250 0.000
3 Pu 0.250 0.250 0.348
4 Pu 0.750 0.750 0.652
5 Ru 0.250 0.250 0.721
6 Ru 0.750 0.750 0.279

The 10 most intense peaks (10° ≤ 2θ ≤ 90°), in order of rising 2θ:
d = 7.783 Å, 11.37°, intensity 100
d = 3.892 Å, 22.85°, intensity 28
d = 2.708 Å, 33.08°, intensity 51
d = 2.667 Å, 33.61°, intensity 81
d = 2.594 Å, 34.57°, intensity 27
d = 2.523 Å, 35.59°, intensity 32
d = 2.200 Å, 41.03°, intensity 27
d = 1.886 Å, 48.26°, intensity 32
d = 1.860 Å, 48.98°, intensity 39
d = 1.525 Å, 60.72°, intensity 22

(8)
Structure and calculated XRD peak list of Li3Pu2S4 (DFT lattice parameters and positions (PBE); Cu Kα, 1.54184 Å).
Kinematic intensities with the Lorentz-polarization factor, no thermal factor.

Structure:
Cell lengths 3.958, 3.958, 13.708 Å; angles 90.68, 90.68, 59.87 degrees
Sites, in units of the cell vectors:
1 Li 0.000 0.000 0.000
2 Li 0.343 0.343 0.403
3 Li 0.657 0.657 0.597
4 Pu 0.327 0.327 0.780
5 Pu 0.673 0.673 0.220
6 S 0.009 0.009 0.348
7 S 0.337 0.337 0.111
8 S 0.663 0.663 0.889
9 S 0.991 0.991 0.652

The 10 most intense peaks (10° ≤ 2θ ≤ 90°), in order of rising 2θ:
d = 6.853 Å, 12.92°, intensity 100
d = 3.426 Å, 26.01°, intensity 18
d = 3.328 Å, 26.79°, intensity 47
d = 3.316 Å, 26.88°, intensity 33
d = 2.748 Å, 32.59°, intensity 52
d = 2.726 Å, 32.85°, intensity 27
d = 2.414 Å, 37.26°, intensity 19
d = 1.978 Å, 45.88°, intensity 26
d = 1.897 Å, 47.97°, intensity 16
d = 1.894 Å, 48.03°, intensity 14

(9)
Structure and calculated XRD peak list of Li3Pu3SnS8 (DFT lattice parameters and positions (PBE); Cu Kα, 1.54184 Å).
Kinematic intensities with the Lorentz-polarization factor, no thermal factor.

Structure:
Cell lengths 7.598, 7.598, 7.598 Å; angles 62.82, 62.82, 62.82 degrees
Sites, in units of the cell vectors:
1 Li 0.000 0.500 0.500
2 Li 0.500 0.000 0.500
3 Li 0.500 0.500 0.000
4 Pu 0.000 0.000 0.500
5 Pu 0.000 0.500 0.000
6 Pu 0.500 0.000 0.000
7 Sn 0.500 0.500 0.500
8 S 0.249 0.249 0.249
9 S 0.259 0.259 0.739
10 S 0.259 0.739 0.259
11 S 0.261 0.741 0.741
12 S 0.739 0.259 0.259
13 S 0.741 0.261 0.741
14 S 0.741 0.741 0.261
15 S 0.751 0.751 0.751

The 10 most intense peaks (10° ≤ 2θ ≤ 90°), in order of rising 2θ:
d = 6.068 Å, 14.60°, intensity 100
d = 3.370 Å, 26.45°, intensity 74
d = 3.209 Å, 27.80°, intensity 33
d = 2.739 Å, 32.70°, intensity 82
d = 2.496 Å, 35.98°, intensity 34
d = 2.072 Å, 43.68°, intensity 21
d = 1.980 Å, 45.83°, intensity 32
d = 1.896 Å, 47.98°, intensity 28
d = 1.882 Å, 48.36°, intensity 31
d = 1.605 Å, 57.43°, intensity 16

(10)
Structure and calculated XRD peak list of Li3Tb3PuS8 (DFT lattice parameters and positions (PBE); Cu Kα, 1.54184 Å).
Kinematic intensities with the Lorentz-polarization factor, no thermal factor.

Structure:
Cell lengths 7.667, 7.667, 7.667 Å; angles 62.10, 62.10, 62.10 degrees
Sites, in units of the cell vectors:
1 Li 0.000 0.500 0.500
2 Li 0.500 0.000 0.500
3 Li 0.500 0.500 0.000
4 Tb 0.000 0.000 0.500
5 Tb 0.000 0.500 0.000
6 Tb 0.500 0.000 0.000
7 Pu 0.500 0.500 0.500
8 S 0.250 0.250 0.250
9 S 0.257 0.257 0.743
10 S 0.257 0.743 0.257
11 S 0.257 0.743 0.743
12 S 0.743 0.257 0.257
13 S 0.743 0.257 0.743
14 S 0.743 0.743 0.257
15 S 0.750 0.750 0.750

The 10 most intense peaks (10° ≤ 2θ ≤ 90°), in order of rising 2θ:
d = 6.159 Å, 14.38°, intensity 100
d = 3.367 Å, 26.47°, intensity 71
d = 3.211 Å, 27.78°, intensity 26
d = 2.751 Å, 32.55°, intensity 86
d = 2.512 Å, 35.75°, intensity 32
d = 2.091 Å, 43.28°, intensity 20
d = 1.977 Å, 45.90°, intensity 32
d = 1.915 Å, 47.48°, intensity 29
d = 1.883 Å, 48.35°, intensity 29
d = 1.606 Å, 57.39°, intensity 16

(11)
Structure and calculated XRD peak list of Li5PuSe4 (DFT lattice parameters and positions (PBE); Cu Kα, 1.54184 Å).
Kinematic intensities with the Lorentz-polarization factor, no thermal factor.

Structure:
Cell lengths 8.239, 8.239, 8.239 Å; angles 150.83, 126.32, 62.26 degrees
Sites, in units of the cell vectors:
1 Li 0.000 0.000 0.000
2 Li 0.113 0.320 0.793
3 Li 0.473 0.680 0.793
4 Li 0.527 0.320 0.207
5 Li 0.887 0.680 0.207
6 Pu 0.500 0.000 0.500
7 Se 0.234 0.500 0.734
8 Se 0.287 0.787 0.500
9 Se 0.713 0.213 0.500
10 Se 0.766 0.500 0.266

The 10 most intense peaks (10° ≤ 2θ ≤ 90°), in order of rising 2θ:
d = 7.052 Å, 12.55°, intensity 53
d = 6.581 Å, 13.46°, intensity 100
d = 3.624 Å, 24.57°, intensity 65
d = 3.526 Å, 25.26°, intensity 46
d = 2.718 Å, 32.96°, intensity 74
d = 2.638 Å, 33.99°, intensity 24
d = 2.527 Å, 35.52°, intensity 36
d = 2.386 Å, 37.69°, intensity 20
d = 1.977 Å, 45.91°, intensity 57
d = 1.861 Å, 48.93°, intensity 21

(12)
Structure and calculated XRD peak list of Li3PuTi2Se6 (DFT lattice parameters and positions (PBE); Cu Kα, 1.54184 Å).
Kinematic intensities with the Lorentz-polarization factor, no thermal factor.

Structure:
Cell lengths 6.639, 6.639, 6.829 Å; angles 99.41, 99.41, 120.11 degrees
Sites, in units of the cell vectors:
1 Li 0.000 0.000 0.000
2 Li 0.340 0.660 0.000
3 Li 0.660 0.340 0.000
4 Pu 0.500 0.500 0.500
5 Ti 0.168 0.832 0.500
6 Ti 0.832 0.168 0.500
7 Se 0.061 0.418 0.257
8 Se 0.224 0.224 0.743
9 Se 0.418 0.061 0.257
10 Se 0.582 0.939 0.743
11 Se 0.776 0.776 0.257
12 Se 0.939 0.582 0.743

The 10 most intense peaks (10° ≤ 2θ ≤ 90°), in order of rising 2θ:
d = 6.452 Å, 13.72°, intensity 45
d = 5.500 Å, 16.12°, intensity 12
d = 4.947 Å, 17.93°, intensity 11
d = 3.270 Å, 27.27°, intensity 23
d = 2.736 Å, 32.73°, intensity 100
d = 2.122 Å, 42.61°, intensity 11
d = 1.957 Å, 46.39°, intensity 25
d = 1.950 Å, 46.58°, intensity 12
d = 1.915 Å, 47.47°, intensity 33
d = 1.571 Å, 58.78°, intensity 11

(13)
Structure and calculated XRD peak list of LiPuUSe3 (DFT lattice parameters and positions (PBE); Cu Kα, 1.54184 Å).
Kinematic intensities with the Lorentz-polarization factor, no thermal factor.

Structure:
Cell lengths 8.524, 3.961, 8.800 Å; angles 90.00, 104.21, 90.00 degrees
Sites, in units of the cell vectors:
1 Li 0.086 0.250 0.082
2 Li 0.914 0.750 0.918
3 Pu 0.176 0.250 0.720
4 Pu 0.824 0.750 0.280
5 U 0.342 0.750 0.346
6 U 0.658 0.250 0.654
7 Se 0.098 0.250 0.367
8 Se 0.223 0.750 0.001
9 Se 0.425 0.750 0.686
10 Se 0.575 0.250 0.314
11 Se 0.777 0.250 0.999
12 Se 0.902 0.750 0.633

The 10 most intense peaks (10° ≤ 2θ ≤ 90°), in order of rising 2θ:
d = 8.530 Å, 10.37°, intensity 34
d = 4.265 Å, 20.83°, intensity 19
d = 4.135 Å, 21.49°, intensity 29
d = 3.592 Å, 24.78°, intensity 25
d = 2.860 Å, 31.27°, intensity 100
d = 2.843 Å, 31.46°, intensity 29
d = 2.349 Å, 38.31°, intensity 12
d = 2.210 Å, 40.83°, intensity 46
d = 2.131 Å, 42.42°, intensity 19
d = 1.980 Å, 45.82°, intensity 16